# KMg2Cd4
Calculated X-ray powder pattern, Cu Kα. Input: the GGA-PBE geometry in Alexandria.

Cell and atoms:
```
data_KMg2Cd4
_chemical_formula_sum 'K2 Mg4 Cd8'
_symmetry_space_group_name_H-M 'I m m m'
_symmetry_Int_Tables_number 71
_symmetry_space_group_name_Hall '-I 2 2'
_cell_length_a 3.2980
_cell_length_b 4.8144
_cell_length_c 22.9982
_cell_angle_alpha 90.00
_cell_angle_beta 90.00
_cell_angle_gamma 90.00
loop_
_atom_site_label
_atom_site_type_symbol
_atom_site_fract_x
_atom_site_fract_y
_atom_site_fract_z
K1 K 0.0000 0.0000 0.0000
Mg1 Mg 0.0000 0.5000 0.2103
Cd1 Cd 0.0000 0.0000 0.4126
Cd2 Cd 0.0000 0.5000 0.3393
```

The 8 most intense peaks (10° ≤ 2θ ≤ 90°), by angle:
d [Å]	2θ (°)	I/Imax	h k l
5.750	15.4	64	0 0 4
3.326	26.8	65	0 1 5
3.265	27.3	54	1 0 1
3.030	29.5	41	1 0 3
2.714	33.0	88	0 1 7
2.648	33.9	75	1 1 2
2.407	37.4	51	0 2 0
2.219	40.7	100	1 1 6